Sm12InPt6: theoretical X-ray diffraction stick pattern (CuKα), based on a PBE-relaxed structure.

Peak list (10 most intense, 2θ = 10–90°, sorted by position)
d = 7.224 Å, intensity 14, hkl 1 1 0; d = 5.108 Å, intensity 13, hkl 2 0 0; d = 2.731 Å, intensity 100, hkl 3 2 1; d = 2.408 Å, intensity 15, hkl 3 3 0; d = 2.004 Å, intensity 29, hkl 5 1 0; d = 1.703 Å, intensity 17, hkl 6 0 0; d = 1.657 Å, intensity 20, hkl 5 3 2; d = 1.445 Å, intensity 12, hkl 5 3 4; d = 1.298 Å, intensity 13, hkl 7 2 3; d = 1.188 Å, intensity 16, hkl 8 3 1

Atomic structure:
a = 10.217 Å, b = 10.217 Å, c = 10.217 Å
α = 90.00°, β = 90.00°, γ = 90.00°
Space group Im-3 (No. 204)
Symmetry-distinct sites (fractional):
Sm  0.000  0.180  0.302
In  0.000  0.000  0.000
Pt  0.000  0.364  0.500


Ba2In6Pb3: theoretical X-ray diffraction stick pattern (CuKα), based on a PBE-relaxed structure.

Peak list (10 most intense, 2θ = 10–90°, sorted by position)
d = 6.827 Å, intensity 29, hkl 0 2 0; d = 3.292 Å, intensity 100, hkl 2 2 1; d = 3.207 Å, intensity 19, hkl 1 3 1; d = 2.980 Å, intensity 23, hkl 3 1 1; d = 2.536 Å, intensity 39, hkl 3 3 1; d = 2.527 Å, intensity 29, hkl 2 4 1; d = 2.450 Å, intensity 32, hkl 0 0 2; d = 2.309 Å, intensity 26, hkl 5 1 0; d = 2.276 Å, intensity 18, hkl 0 6 0; d = 2.036 Å, intensity 21, hkl 3 5 1

Atomic structure:
a = 11.715 Å, b = 13.653 Å, c = 4.899 Å
α = 90.00°, β = 90.00°, γ = 90.00°
Space group Cmmm (No. 65)
Symmetry-distinct sites (fractional):
Ba  0.000  0.206  0.000
In  0.119  0.000  0.500
In  0.200  0.344  0.500
Pb  0.000  0.500  0.500
Pb  0.206  0.500  0.000


Sn3GeAu6: theoretical X-ray diffraction stick pattern (CuKα), based on a PBE-relaxed structure.

Peak list (10 most intense, 2θ = 10–90°, sorted by position)
d = 4.627 Å, intensity 56, hkl 0 2 0; d = 2.874 Å, intensity 89, hkl 2 1 -2; d = 2.748 Å, intensity 65, hkl 1 3 -1; d = 2.693 Å, intensity 75, hkl 1 2 1; d = 2.626 Å, intensity 100, hkl 1 2 -3; d = 2.330 Å, intensity 59, hkl 1 0 -4; d = 2.323 Å, intensity 92, hkl 1 1 2; d = 2.260 Å, intensity 99, hkl 2 1 -4; d = 2.160 Å, intensity 59, hkl 2 3 -2; d = 1.984 Å, intensity 55, hkl 0 4 2

Atomic structure:
a = 6.052 Å, b = 9.255 Å, c = 9.603 Å
α = 90.00°, β = 126.64°, γ = 90.00°
Space group P2_1/c (No. 14)
Symmetry-distinct sites (fractional):
Sn  0.000  0.000  0.000
Sn  0.314  0.090  0.754
Ge  0.500  0.000  0.500
Au  0.036  0.140  0.278
Au  0.210  0.698  0.045
Au  0.449  0.201  0.081


Al2Zn4Cu: theoretical X-ray diffraction stick pattern (CuKα), based on a PBE-relaxed structure.

Peak list (10 most intense, 2θ = 10–90°, sorted by position)
d = 5.348 Å, intensity 58, hkl 1 1 -1; d = 3.130 Å, intensity 81, hkl 2 2 -1; d = 3.080 Å, intensity 74, hkl 3 1 -2; d = 2.119 Å, intensity 98, hkl 1 1 2; d = 2.079 Å, intensity 59, hkl 1 3 1; d = 2.067 Å, intensity 78, hkl 3 3 -1; d = 2.059 Å, intensity 72, hkl 1 1 -3; d = 2.034 Å, intensity 50, hkl 3 3 -2; d = 2.027 Å, intensity 100, hkl 5 1 -3; d = 2.016 Å, intensity 97, hkl 4 0 0

Atomic structure:
a = 10.886 Å, b = 7.662 Å, c = 7.469 Å
α = 90.00°, β = 132.18°, γ = 90.00°
Space group Cc (No. 9)
Symmetry-distinct sites (fractional):
Al  0.000  0.044  0.000
Al  0.207  0.302  0.387
Zn  0.198  0.382  0.742
Zn  0.239  0.063  0.967
Zn  0.432  0.193  0.816
Zn  0.442  0.118  0.443
Cu  0.458  0.297  0.170


CrP2Cl2: theoretical X-ray diffraction stick pattern (CuKα), based on a PBE-relaxed structure.

Peak list (10 most intense, 2θ = 10–90°, sorted by position)
d = 6.748 Å, intensity 100, hkl 1 0 0; d = 5.236 Å, intensity 9, hkl 1 0 -1; d = 4.422 Å, intensity 70, hkl 0 1 1; d = 3.471 Å, intensity 18, hkl 1 0 -2; d = 2.909 Å, intensity 25, hkl 1 1 -2; d = 2.527 Å, intensity 12, hkl 0 2 1; d = 2.517 Å, intensity 21, hkl 2 0 2; d = 2.377 Å, intensity 27, hkl 1 2 -1; d = 1.968 Å, intensity 9, hkl 2 1 -3; d = 1.670 Å, intensity 9, hkl 3 2 1

Atomic structure:
a = 6.754 Å, b = 5.335 Å, c = 7.909 Å
α = 90.00°, β = 92.28°, γ = 90.00°
Space group P2_1 (No. 4)
Symmetry-distinct sites (fractional):
Cr  0.083  0.000  0.174
P  0.087  0.243  0.613
P  0.109  0.643  0.600
Cl  0.161  0.388  0.031
Cl  0.386  0.961  0.282


Ac2SnPb5: theoretical X-ray diffraction stick pattern (CuKα), based on a PBE-relaxed structure.

Peak list (10 most intense, 2θ = 10–90°, sorted by position)
d = 2.909 Å, intensity 100, hkl 2 0 1; d = 2.519 Å, intensity 51, hkl 0 0 2; d = 1.781 Å, intensity 25, hkl 2 4 2; d = 1.521 Å, intensity 22, hkl 2 0 3; d = 1.518 Å, intensity 22, hkl 0 4 3; d = 1.457 Å, intensity 6, hkl 4 0 2; d = 1.452 Å, intensity 6, hkl 0 8 2; d = 1.157 Å, intensity 6, hkl 4 4 3; d = 1.155 Å, intensity 6, hkl 2 8 3; d = 1.127 Å, intensity 12, hkl 2 4 4

Atomic structure:
a = 7.144 Å, b = 14.221 Å, c = 5.037 Å
α = 90.00°, β = 90.00°, γ = 90.00°
Space group Pbam (No. 55)
Symmetry-distinct sites (fractional):
Ac  0.244  0.123  0.000
Sn  0.000  0.000  0.500
Pb  0.000  0.500  0.500
Pb  0.005  0.751  0.500
Pb  0.247  0.374  0.000


Tl11Sb4: theoretical X-ray diffraction stick pattern (CuKα), based on a PBE-relaxed structure.

Peak list (10 most intense, 2θ = 10–90°, sorted by position)
d = 2.910 Å, intensity 35, hkl 2 0 2; d = 2.883 Å, intensity 100, hkl 4 1 0; d = 2.827 Å, intensity 68, hkl 2 1 2; d = 2.802 Å, intensity 34, hkl 3 3 0; d = 2.647 Å, intensity 46, hkl 4 1 1; d = 2.614 Å, intensity 19, hkl 2 2 2; d = 2.584 Å, intensity 29, hkl 3 3 1; d = 2.496 Å, intensity 28, hkl 3 1 2; d = 1.741 Å, intensity 18, hkl 3 3 3; d = 1.444 Å, intensity 25, hkl 4 1 4

Atomic structure:
a = 11.888 Å, b = 11.888 Å, c = 6.675 Å
α = 90.00°, β = 90.00°, γ = 90.00°
Space group P4_2/mnm (No. 136)
Symmetry-distinct sites (fractional):
Tl  0.000  0.000  0.000
Tl  0.060  0.288  0.000
Tl  0.096  0.096  0.500
Tl  0.188  0.812  0.248
Sb  0.050  0.347  0.500


LaNd6Sm12: theoretical X-ray diffraction stick pattern (CuKα), based on a PBE-relaxed structure.

Peak list (10 most intense, 2θ = 10–90°, sorted by position)
d = 3.157 Å, intensity 25, hkl 1 3 1; d = 3.076 Å, intensity 48, hkl 1 0 4; d = 2.901 Å, intensity 57, hkl 3 1 2; d = 2.880 Å, intensity 67, hkl 0 3 3; d = 2.862 Å, intensity 100, hkl 4 0 1; d = 2.668 Å, intensity 39, hkl 0 4 2; d = 2.651 Å, intensity 26, hkl 2 2 3; d = 2.637 Å, intensity 27, hkl 3 2 1; d = 1.696 Å, intensity 25, hkl 4 4 0; d = 1.652 Å, intensity 29, hkl 4 3 4

Atomic structure:
a = 13.5663 Å, b = 13.5663 Å, c = 12.7483 Å
α = 90.00°, β = 90.00°, γ = 120.00°
Space group R-3m (No. 166, hexagonal axes)
Symmetry-distinct sites (fractional):
La  0.0000  0.0000  0.0000
Nd  0.0400  0.5200  0.6173
Sm  0.0000  0.2586  0.5000
Sm  0.0911  0.1822  0.2645


LiReO2F4: theoretical X-ray diffraction stick pattern (CuKα), based on a PBE-relaxed structure.

Peak list (10 most intense, 2θ = 10–90°, sorted by position)
d = 4.611 Å, intensity 32, hkl 0 0 2; d = 4.278 Å, intensity 100, hkl 1 0 1; d = 3.415 Å, intensity 32, hkl 1 1 0; d = 2.744 Å, intensity 27, hkl 1 1 2; d = 2.593 Å, intensity 16, hkl 1 0 3; d = 2.139 Å, intensity 11, hkl 2 0 2; d = 2.103 Å, intensity 26, hkl 2 1 1; d = 1.767 Å, intensity 19, hkl 2 1 3; d = 1.450 Å, intensity 8, hkl 3 1 2; d = 1.402 Å, intensity 8, hkl 2 1 5

Atomic structure:
a = 4.829 Å, b = 4.829 Å, c = 9.222 Å
α = 90.00°, β = 90.00°, γ = 90.00°
Space group P-42_1m (No. 113)
Symmetry-distinct sites (fractional):
Li  0.000  0.500  0.080
Re  0.000  0.500  0.731
O  0.195  0.695  0.615
F  0.185  0.685  0.907
F  0.225  0.725  0.234


CsHo3F10: theoretical X-ray diffraction stick pattern (CuKα), based on a PBE-relaxed structure.

Peak list (10 most intense, 2θ = 10–90°, sorted by position)
d = 3.390 Å, intensity 100, hkl 2 2 2; d = 2.936 Å, intensity 42, hkl 4 0 0; d = 2.076 Å, intensity 46, hkl 4 4 0; d = 1.770 Å, intensity 55, hkl 6 2 2; d = 1.695 Å, intensity 14, hkl 4 4 4; d = 1.468 Å, intensity 8, hkl 8 0 0; d = 1.347 Å, intensity 19, hkl 6 6 2; d = 1.313 Å, intensity 15, hkl 8 4 0; d = 1.199 Å, intensity 16, hkl 8 4 4; d = 1.130 Å, intensity 13, hkl 10 2 2

Atomic structure:
a = 11.744 Å, b = 11.744 Å, c = 11.744 Å
α = 90.00°, β = 90.00°, γ = 90.00°
Space group Fm-3m (No. 225)
Symmetry-distinct sites (fractional):
Cs  0.250  0.250  0.250
Ho  0.000  0.000  0.240
F  0.000  0.163  0.337
F  0.109  0.109  0.109


Li2ReP2: theoretical X-ray diffraction stick pattern (CuKα), based on a PBE-relaxed structure.

Peak list (10 most intense, 2θ = 10–90°, sorted by position)
d = 4.310 Å, intensity 100, hkl 1 1 0; d = 3.712 Å, intensity 86, hkl 0 0 1; d = 3.048 Å, intensity 53, hkl 2 0 0; d = 2.813 Å, intensity 75, hkl 1 1 1; d = 2.356 Å, intensity 60, hkl 2 0 1; d = 2.155 Å, intensity 25, hkl 2 2 0; d = 1.928 Å, intensity 49, hkl 3 1 0; d = 1.864 Å, intensity 30, hkl 2 2 1; d = 1.711 Å, intensity 62, hkl 3 1 1; d = 1.337 Å, intensity 30, hkl 3 1 2

Atomic structure:
a = 6.096 Å, b = 6.096 Å, c = 3.712 Å
α = 90.00°, β = 90.00°, γ = 90.00°
Space group P4/mbm (No. 127)
Symmetry-distinct sites (fractional):
Li  0.173  0.327  0.000
Re  0.000  0.000  0.500
P  0.135  0.635  0.500


ScSiGe: theoretical X-ray diffraction stick pattern (CuKα), based on a PBE-relaxed structure.

Peak list (10 most intense, 2θ = 10–90°, sorted by position)
d = 7.363 Å, intensity 26, hkl 0 2 0; d = 3.681 Å, intensity 9, hkl 0 4 0; d = 2.646 Å, intensity 11, hkl 1 1 1; d = 2.454 Å, intensity 21, hkl 0 6 0; d = 2.359 Å, intensity 100, hkl 1 3 1; d = 1.938 Å, intensity 15, hkl 2 0 0; d = 1.868 Å, intensity 13, hkl 0 0 2; d = 1.521 Å, intensity 9, hkl 2 6 0; d = 1.185 Å, intensity 10, hkl 3 3 1; d = 1.152 Å, intensity 9, hkl 1 3 3

Atomic structure:
a = 3.876 Å, b = 14.726 Å, c = 3.736 Å
α = 90.00°, β = 90.00°, γ = 90.00°
Space group Cmcm (No. 63)
Symmetry-distinct sites (fractional):
Sc  0.000  0.099  0.250
Si  0.000  0.448  0.250
Ge  0.000  0.252  0.750